[1]
# Na4Cu7P4Cl2O18
Calculated powder diffractogram, a wavelength of 1.5418 Å. Input: DFT lattice parameters and positions (PBE).

Top 10 peaks for 10° ≤ 2θ ≤ 80°, in order of falling intensity:
d [Å]	I_rel	hkl
2.739	100	2 0 2
8.272	85	0 1 1
2.846	75	0 4 2
2.757	69	0 3 3
2.544	43	2 3 1
1.740	39	2 4 4
4.139	37	0 2 2
5.081	36	1 1 1
3.219	32	2 0 0
3.000	30	2 1 1

Structure:
```
data_Na4Cu7P4Cl2O18
_cell_length_a 6.4384
_cell_length_b 13.5866
_cell_length_c 10.4266
_cell_angle_alpha 90.00
_cell_angle_beta 90.00
_cell_angle_gamma 90.00
_space_group_name_H-M_alt 'A m m 2'
_space_group_IT_number 38
loop_
_space_group_symop_operation_xyz
'x,y,z'
'-x,-y,z'
'-x,y,z'
'x,-y,z'
'x,y+1/2,z+1/2'
'-x,-y+1/2,z+1/2'
'-x,y+1/2,z+1/2'
'x,-y+1/2,z+1/2'
loop_
_atom_site_label
_atom_site_type_symbol
_atom_site_fract_x
_atom_site_fract_y
_atom_site_fract_z
Na1 Na 0.2449 0.1917 0.0000
Cu1 Cu 0.0000 0.1119 0.2926
Cu2 Cu 0.2474 0.0000 0.5043
Cu3 Cu 0.5000 0.0000 0.1225
Cu4 Cu 0.5000 0.1155 0.7020
P1 P 0.0000 0.1672 0.7114
P2 P 0.5000 0.1644 0.2996
Cl1 Cl 0.0000 0.0000 0.1091
Cl2 Cl 0.5000 0.0000 0.9044
O1 O 0.0000 0.0000 0.4107
O2 O 0.0000 0.1562 0.8555
O3 O 0.0000 0.2207 0.1710
O4 O 0.1961 0.1199 0.6445
O5 O 0.3034 0.1212 0.3654
O6 O 0.5000 0.0000 0.5957
O7 O 0.5000 0.1417 0.1522
O8 O 0.5000 0.2222 0.8223
```

---

[2]
# Sr2UCo
Calculated powder diffractogram, a wavelength of 1.5418 Å. Input: DFT lattice parameters and positions (PBE).

Top 10 peaks for 10° ≤ 2θ ≤ 80°, in order of falling intensity:
d [Å]	I_rel	hkl
2.834	100	2 2 0
1.636	39	4 2 2
4.629	27	1 1 1
2.004	18	4 0 0
1.268	17	6 2 0
2.417	16	3 1 1
1.417	12	4 4 0
1.839	7	3 3 1
4.009	7	2 0 0
1.355	6	5 3 1

Structure:
```
data_Sr2UCo
_cell_length_a 8.0170
_cell_length_b 8.0170
_cell_length_c 8.0170
_cell_angle_alpha 90.00
_cell_angle_beta 90.00
_cell_angle_gamma 90.00
_space_group_name_H-M_alt 'F m -3 m'
_space_group_IT_number 225
_space_group_name_Hall '-F 4 2 3'
loop_
_atom_site_label
_atom_site_type_symbol
_atom_site_fract_x
_atom_site_fract_y
_atom_site_fract_z
Sr1 Sr 0.2500 0.2500 0.2500
U1 U 0.0000 0.0000 0.0000
Co1 Co 0.0000 0.0000 0.5000
```

---

[3]
# Dy3B7W
Calculated powder diffractogram, a wavelength of 1.5418 Å. Input: DFT lattice parameters and positions (PBE).

Top 10 peaks for 10° ≤ 2θ ≤ 80°, in order of falling intensity:
d [Å]	I_rel	hkl
3.394	100	1 1 0
2.315	83	1 1 3
3.060	77	0 4 2
2.943	71	0 2 3
2.285	64	1 5 1
2.482	39	0 4 3
2.669	32	0 6 0
2.142	26	1 3 3
2.569	26	0 6 1
1.737	25	2 0 0

Structure:
```
data_Dy3B7W
_cell_length_a 3.4733
_cell_length_b 16.0131
_cell_length_c 9.4929
_cell_angle_alpha 90.00
_cell_angle_beta 90.00
_cell_angle_gamma 90.00
_space_group_name_H-M_alt 'C m c m'
_space_group_IT_number 63
_space_group_name_Hall '-C 2c 2'
loop_
_atom_site_label
_atom_site_type_symbol
_atom_site_fract_x
_atom_site_fract_y
_atom_site_fract_z
Dy1 Dy 0.0000 0.1070 0.0604
Dy2 Dy 0.0000 0.2434 0.7500
B1 B 0.0000 0.2727 0.0326
B2 B 0.0000 0.3655 0.1469
B3 B 0.0000 0.4559 0.7500
B4 B 0.0000 0.4804 0.0918
W1 W 0.0000 0.0532 0.7500
```

---

[4]
# SnP2O6
Calculated powder diffractogram, a wavelength of 1.5418 Å. Input: DFT lattice parameters and positions (PBE).

Top 10 peaks for 10° ≤ 2θ ≤ 80°, in order of falling intensity:
d [Å]	I_rel	hkl
3.312	100	0 2 2
4.793	51	1 1 -2
6.926	48	1 1 -1
2.688	34	4 2 -2
3.859	33	3 1 -2
3.480	30	3 1 0
3.952	28	3 1 -1
4.975	25	1 1 1
2.823	23	4 0 0
3.298	18	3 1 -3

Structure:
```
data_SnP2O6
_cell_length_a 13.3227
_cell_length_b 9.1436
_cell_length_c 11.3413
_cell_angle_alpha 90.00
_cell_angle_beta 122.06
_cell_angle_gamma 90.00
_space_group_name_H-M_alt 'C 1 2/c 1'
_space_group_IT_number 15
loop_
_space_group_symop_operation_xyz
'x,y,z'
'-x,-y,-z'
'-x,y,-z+1/2'
'x,-y,z+1/2'
'x+1/2,y+1/2,z'
'-x+1/2,-y+1/2,-z'
'-x+1/2,y+1/2,-z+1/2'
'x+1/2,-y+1/2,z+1/2'
loop_
_atom_site_label
_atom_site_type_symbol
_atom_site_fract_x
_atom_site_fract_y
_atom_site_fract_z
Sn1 Sn 0.0000 0.0113 0.2500
Sn2 Sn 0.2500 0.2500 0.5000
P1 P 0.0111 0.2828 0.9795
P2 P 0.1838 0.4953 0.1893
O1 O 0.0372 0.1559 0.9154
O2 O 0.0375 0.2535 0.4290
O3 O 0.0755 0.3926 0.6460
O4 O 0.1310 0.3777 0.0625
O5 O 0.2139 0.4273 0.3234
O6 O 0.2179 0.0714 0.3173
```

---

[5]
# LiO
Calculated powder diffractogram, a wavelength of 1.5418 Å. Input: DFT lattice parameters and positions (PBE).

Top 10 peaks for 10° ≤ 2θ ≤ 80°, in order of falling intensity:
d [Å]	I_rel	hkl
2.593	100	1 0 1
1.590	43	1 1 0
2.754	34	1 0 0
2.240	28	1 0 2
1.345	23	1 0 5
1.878	17	1 0 3
3.852	16	0 0 2
1.578	11	1 0 4
1.356	6	2 0 1
1.926	4	0 0 4

Structure:
```
data_LiO
_cell_length_a 3.1804
_cell_length_b 3.1804
_cell_length_c 7.7035
_cell_angle_alpha 90.00
_cell_angle_beta 90.00
_cell_angle_gamma 120.00
_space_group_name_H-M_alt 'P 63/m m c'
_space_group_IT_number 194
_space_group_name_Hall '-P 6c 2c'
loop_
_atom_site_label
_atom_site_type_symbol
_atom_site_fract_x
_atom_site_fract_y
_atom_site_fract_z
Li1 Li 0.0000 0.0000 0.0000
Li2 Li 0.3333 0.6667 0.2500
O1 O 0.3333 0.6667 0.6493
```